For Er2FeSi4, a crystal structure in the Materials Project, relaxed with GGA-PBE gives the computed XRD peak list in this record (CuKα).

Crystal structure
```
data_Er2FeSi4
_chemical_formula_sum 'Er4 Fe2 Si8'
_cell_length_a 3.961
_cell_length_b 3.992
_cell_length_c 15.989
_cell_angle_alpha 90.00
_cell_angle_beta 90.00
_cell_angle_gamma 90.00
_symmetry_space_group_name_H-M 'A m m 2'
_symmetry_Int_Tables_number 38
_symmetry_space_group_name_Hall 'A 2 -2'
loop_
_atom_site_label
_atom_site_type_symbol
_atom_site_fract_x
_atom_site_fract_y
_atom_site_fract_z
Er1 Er 0.000 0.000 0.000
Er2 Er 0.500 0.000 0.216
Fe1 Fe 0.000 0.000 0.357
Si1 Si 0.000 0.000 0.645
Si2 Si 0.000 0.000 0.798
Si3 Si 0.500 0.000 0.414
Si4 Si 0.500 0.000 0.564
```

Largest 10 diffraction maxima, in order of rising 2θ, 2θ = 15–90°:
22.24 deg, 3.997 Å, I 26, (0 0 4)
22.96 deg, 3.873 Å, I 42, (0 1 1)
25.09 deg, 3.549 Å, I 64, (1 0 2)
32.33 deg, 2.769 Å, I 47, (1 1 1)
35.98 deg, 2.496 Å, I 58, (0 1 5)
36.12 deg, 2.487 Å, I 100, (1 1 3)
40.81 deg, 2.211 Å, I 37, (1 0 6)
45.43 deg, 1.997 Å, I 28, (0 2 0)
45.81 deg, 1.981 Å, I 25, (2 0 0)
59.59 deg, 1.551 Å, I 27, (2 1 5)